Starting from the GGA+U geometry in Alexandria, the X-ray powder pattern of Li4MnNb2WO12 was computed for Cu Kα, 1.54184 Å.
Peak positions follow from Bragg's law for the DFT cell and can differ from measured ones.

Crystal structure
```
20
Lattice="5.1509 0.0000 0.0000 -0.0278 5.4846 0.0000 -0.0026 -0.6270 7.4877" Properties=species:S:1:pos:R:3 pbc="T T T"
Li 0.0000 0.0000 0.0000
Li -0.0114 5.1542 3.5069
Li 2.5361 2.3491 7.4239
Li 2.5822 3.4088 2.9336
Mn -0.0127 3.1523 1.4300
Nb 2.6186 0.4807 1.5421
Nb 5.1257 2.6555 5.1662
W 2.5900 0.0004 5.2729
O 0.5649 2.7446 7.0332
O 0.9609 1.0938 4.6838
O 0.9944 4.7629 1.8410
O 1.5794 2.1198 1.7943
O 1.5902 3.9578 4.6856
O 1.9106 -0.0511 7.0148
O 3.2193 0.2354 3.3905
O 3.4475 1.7581 5.6457
O 3.6028 4.2638 1.0142
O 4.1583 1.5466 0.9662
O 4.1400 4.5542 5.6397
O 4.5545 3.0901 3.2894
```

Principal peaks in the range 2θ from 5° to 70°, in order of falling intensity:
| d (Å) | Rel. int. | (hkl) |
| --- | --- | --- |
| 3.751 | 100 | 0 0 2 |
| 2.730 | 54 | 1 1 -2 |
| 3.739 | 49 | 1 1 0 |
| 2.578 | 24 | 2 0 0 |
| 2.123 | 18 | 2 0 -2 |
| 1.871 | 18 | 0 0 4 |
| 7.488 | 16 | 0 0 1 |
| 1.713 | 13 | 1 1 -4 |
| 1.715 | 13 | 1 3 0 |
| 1.720 | 13 | 2 -2 2 |